Calculated X-ray powder pattern of Er3Ge13Os4 for Cu Kα, from DFT lattice parameters and positions (PBE).

Atomic structure:
Cell: 9.0607 9.0607 9.0607 Å, 90.00 90.00 90.00°
Space group Pm-3n (No. 223)
Asymmetric unit:
Er: 0.0000 0.2500 0.5000 [6 per cell]
Ge: 0.0000 0.0000 0.0000 [2 per cell]
Ge: 0.0000 0.3013 0.1452 [24 per cell]
Os: 0.2500 0.2500 0.2500 [8 per cell]

Most intense lines, 2θ = 10–80°, sorted by position:
2theta	intensity	hkl
19.60	45	2 0 0
27.85	22	2 2 0
34.28	54	2 2 2
35.73	100	3 2 0
37.13	39	3 2 1
39.79	57	4 0 0
44.73	35	4 2 0
49.27	49	4 2 2
57.54	22	4 4 0
68.72	38	6 2 2


Calculated X-ray powder pattern of Er2Ge6Pd for Cu Kα, from DFT lattice parameters and positions (PBE).

Atomic structure:
Cell: 4.0760 4.0403 21.9494 Å, 90.00 90.00 90.00°
Space group Amm2 (No. 38)
Asymmetric unit:
Er: 0.0000 0.0000 0.0000 [2 per cell]
Er: 0.0000 0.0000 0.3405 [2 per cell]
Ge: 0.0000 0.0000 0.6015 [2 per cell]
Ge: 0.0000 0.0000 0.7154 [2 per cell]
Ge: 0.5000 0.0000 0.1000 [2 per cell]
Ge: 0.5000 0.0000 0.2142 [2 per cell]
Ge: 0.5000 0.0000 0.4635 [2 per cell]
Ge: 0.5000 0.0000 0.8919 [2 per cell]
Pd: 0.5000 0.0000 0.7814 [2 per cell]

Most intense lines, 2θ = 10–80°, sorted by position:
2theta	intensity	hkl
32.64	11	0 0 8
32.90	24	1 0 6
33.55	100	1 1 3
37.44	16	1 1 5
42.71	16	1 1 7
43.34	19	0 1 9
44.45	23	2 0 0
44.87	22	0 2 0
63.82	12	2 1 9
65.00	15	2 2 0


Repeat the first record exactly.
Calculated X-ray powder pattern of Er3Ge13Os4 for Cu Kα, from DFT lattice parameters and positions (PBE).

Atomic structure:
Cell: 9.0607 9.0607 9.0607 Å, 90.00 90.00 90.00°
Space group Pm-3n (No. 223)
Asymmetric unit:
Er: 0.0000 0.2500 0.5000 [6 per cell]
Ge: 0.0000 0.0000 0.0000 [2 per cell]
Ge: 0.0000 0.3013 0.1452 [24 per cell]
Os: 0.2500 0.2500 0.2500 [8 per cell]

Most intense lines, 2θ = 10–80°, sorted by position:
2theta	intensity	hkl
19.60	45	2 0 0
27.85	22	2 2 0
34.28	54	2 2 2
35.73	100	3 2 0
37.13	39	3 2 1
39.79	57	4 0 0
44.73	35	4 2 0
49.27	49	4 2 2
57.54	22	4 4 0
68.72	38	6 2 2